No. 1
The following is a computed powder XRD pattern of CeVO2. It was derived from DFT lattice parameters and positions (PBE+U), using λ = 1.5418 Å (Cu Kα).

Largest 10 diffraction maxima, by angle, 5° ≤ 2θ ≤ 70°:
d/Å  2θ/deg  Rel. int.  h k l
5.596  15.84  43  1 0 1
3.059  29.20  47  0 0 4
2.798  31.98  100  2 0 2
2.743  32.65  19  2 1 1
2.225  40.54  47  2 2 0
1.799  50.74  38  2 2 4
1.711  53.55  34  2 0 6
1.573  58.68  14  4 0 0
1.399  66.87  16  4 0 4
1.371  68.41  24  4 2 2

Atomic structure:
Cell lengths 6.293, 6.293, 12.235 Å; angles 90.00, 90.00, 90.00 degrees
Space group I4_1/amd (No. 141, origin choice 2)
Symmetry-distinct sites (fractional):
Ce  0.000  0.000  0.000 [8 per cell]
V  0.000  0.000  0.500 [8 per cell]
O  0.000  0.030  0.198 [16 per cell]

No. 2
The following is a computed powder XRD pattern of TlMo2Cl7O2. It was derived from DFT lattice parameters and positions (PBE+U), using λ = 1.5418 Å (Cu Kα).

Largest 10 diffraction maxima, by angle, 5° ≤ 2θ ≤ 70°:
d/Å  2θ/deg  Rel. int.  h k l
9.955  8.88  53  0 0 1
5.903  15.01  56  0 1 1
5.409  16.39  76  1 0 1
5.261  16.85  100  -1 1 1
4.457  19.92  57  0 2 -1
4.397  20.20  86  1 -2 1
3.230  27.62  62  2 -2 1
2.948  30.32  61  2 0 -2
2.731  32.79  58  2 -3 0
2.569  34.93  95  0 1 -4

Atomic structure:
Cell lengths 7.267, 9.626, 10.281 Å; angles 103.51, 90.44, 109.14 degrees
Space group P-1 (No. 2)
Symmetry-distinct sites (fractional):
Tl  0.228  0.256  0.435 [2 per cell]
Mo  0.224  0.646  0.290 [2 per cell]
Mo  0.366  0.126  0.904 [2 per cell]
Cl  0.087  0.845  0.344 [2 per cell]
Cl  0.105  0.896  0.844 [2 per cell]
Cl  0.251  0.658  0.522 [2 per cell]
Cl  0.291  0.698  0.062 [2 per cell]
Cl  0.412  0.097  0.127 [2 per cell]
Cl  0.424  0.097  0.669 [2 per cell]
Cl  0.460  0.519  0.268 [2 per cell]
O  0.018  0.496  0.230 [2 per cell]
O  0.250  0.255  0.934 [2 per cell]

No. 3
The following is a computed powder XRD pattern of KBa3Y2Co6O16. It was derived from DFT lattice parameters and positions (PBE+U), using λ = 1.5418 Å (Cu Kα).

Largest 10 diffraction maxima, by angle, 5° ≤ 2θ ≤ 70°:
d/Å  2θ/deg  Rel. int.  h k l
5.418  16.36  5  1 0 1
2.787  32.11  45  2 0 0
2.750  32.56  100  1 1 6
2.256  39.97  14  2 0 6
1.971  46.05  33  2 2 0
1.920  47.36  12  0 0 12
1.602  57.53  39  3 1 6
1.581  58.37  20  2 0 12
1.394  67.17  10  4 0 0
1.375  68.19  15  2 2 12

Atomic structure:
Cell lengths 5.575, 5.575, 23.036 Å; angles 90.00, 90.00, 90.00 degrees
Space group I4mm (No. 107)
Symmetry-distinct sites (fractional):
K  0.000  0.000  0.000 [2 per cell]
Ba  0.000  0.000  0.167 [2 per cell]
Ba  0.000  0.000  0.500 [2 per cell]
Ba  0.000  0.000  0.669 [2 per cell]
Y  0.000  0.000  0.335 [2 per cell]
Y  0.000  0.000  0.837 [2 per cell]
Co  0.000  0.500  0.082 [4 per cell]
Co  0.000  0.500  0.256 [4 per cell]
Co  0.000  0.500  0.416 [4 per cell]
O  0.000  0.500  0.002 [4 per cell]
O  0.000  0.500  0.166 [4 per cell]
O  0.246  0.246  0.585 [8 per cell]
O  0.248  0.248  0.395 [8 per cell]
O  0.250  0.250  0.272 [8 per cell]

No. 4
The following is a computed powder XRD pattern of LiCr2O3. It was derived from DFT lattice parameters and positions (PBE+U), using λ = 1.5418 Å (Cu Kα).

Largest 10 diffraction maxima, by angle, 5° ≤ 2θ ≤ 70°:
d/Å  2θ/deg  Rel. int.  h k l
4.332  20.50  55  1 1 0
3.942  22.55  15  1 1 -1
3.330  26.77  35  0 2 1
2.482  36.20  27  1 3 -1
2.467  36.42  27  0 0 2
2.191  41.21  54  2 0 -2
2.120  42.65  100  1 3 1
1.523  60.80  56  3 3 -1
1.506  61.60  14  0 6 0
1.492  62.21  13  2 0 2

Atomic structure:
Cell lengths 5.306, 9.033, 5.297 Å; angles 90.00, 111.47, 90.00 degrees
Space group C2 (No. 5)
Symmetry-distinct sites (fractional):
Li  0.000  0.000  0.000 [2 per cell]
Li  0.000  0.169  0.500 [2 per cell]
Cr  0.000  0.329  0.000 [2 per cell]
Cr  0.000  0.499  0.500 [2 per cell]
Cr  0.000  0.671  0.000 [2 per cell]
Cr  0.000  0.838  0.500 [2 per cell]
O  0.227  0.671  0.748 [4 per cell]
O  0.238  0.492  0.269 [4 per cell]
O  0.241  0.846  0.281 [4 per cell]

No. 5
The following is a computed powder XRD pattern of LaMn4Bi3O12. It was derived from DFT lattice parameters and positions (PBE+U), using λ = 1.5418 Å (Cu Kα).

Largest 10 diffraction maxima, by angle, 5° ≤ 2θ ≤ 70°:
d/Å  2θ/deg  Rel. int.  h k l
4.060  21.89  13  1 0 -1
4.041  21.99  12  1 0 1
3.846  23.13  15  0 2 0
3.584  24.84  24  1 1 -1
2.991  29.87  17  0 0 2
2.789  32.09  100  1 2 -1
2.752  32.53  22  2 0 0
2.238  40.30  13  2 2 0
1.923  47.27  12  0 4 0
1.819  50.15  10  1 1 3

Atomic structure:
Cell lengths 5.505, 7.691, 5.983 Å; angles 90.00, 90.27, 90.00 degrees
Space group Pm (No. 6)
Symmetry-distinct sites (fractional):
La  0.000  0.000  0.000 [1 per cell]
Mn  0.014  0.251  0.565 [2 per cell]
Mn  0.514  0.252  0.069 [2 per cell]
Bi  0.025  0.500  0.136 [1 per cell]
Bi  0.503  0.500  0.637 [1 per cell]
Bi  0.525  0.000  0.497 [1 per cell]
O  0.115  0.000  0.594 [1 per cell]
O  0.223  0.296  0.889 [2 per cell]
O  0.305  0.296  0.387 [2 per cell]
O  0.428  0.000  0.094 [1 per cell]
O  0.615  0.500  0.032 [1 per cell]
O  0.725  0.202  0.745 [2 per cell]
O  0.805  0.209  0.247 [2 per cell]
O  0.914  0.500  0.537 [1 per cell]

No. 6
The following is a computed powder XRD pattern of YFeF5. It was derived from DFT lattice parameters and positions (PBE+U), using λ = 1.5418 Å (Cu Kα).

Largest 10 diffraction maxima, by angle, 5° ≤ 2θ ≤ 70°:
d/Å  2θ/deg  Rel. int.  h k l
4.144  21.44  87  0 0 2
3.620  24.59  100  1 1 0
3.493  25.50  64  0 2 0
2.726  32.85  22  1 1 2
2.671  33.55  20  0 2 2
2.116  42.73  28  2 0 0
2.072  43.68  25  0 0 4
2.040  44.41  34  1 3 0
1.798  50.77  24  1 1 4
1.782  51.28  21  0 2 4

Atomic structure:
Cell lengths 4.232, 6.985, 8.289 Å; angles 90.00, 90.00, 90.00 degrees
Space group Immm (No. 71)
Symmetry-distinct sites (fractional):
Y  0.000  0.000  0.000 [2 per cell]
Fe  0.000  0.000  0.500 [2 per cell]
F  0.000  0.000  0.268 [4 per cell]
F  0.000  0.314  0.000 [4 per cell]
F  0.000  0.500  0.500 [2 per cell]

Please write out number 2 again, unchanged.
The following is a computed powder XRD pattern of TlMo2Cl7O2. It was derived from DFT lattice parameters and positions (PBE+U), using λ = 1.5418 Å (Cu Kα).

Largest 10 diffraction maxima, by angle, 5° ≤ 2θ ≤ 70°:
d/Å  2θ/deg  Rel. int.  h k l
9.955  8.88  53  0 0 1
5.903  15.01  56  0 1 1
5.409  16.39  76  1 0 1
5.261  16.85  100  -1 1 1
4.457  19.92  57  0 2 -1
4.397  20.20  86  1 -2 1
3.230  27.62  62  2 -2 1
2.948  30.32  61  2 0 -2
2.731  32.79  58  2 -3 0
2.569  34.93  95  0 1 -4

Atomic structure:
Cell lengths 7.267, 9.626, 10.281 Å; angles 103.51, 90.44, 109.14 degrees
Space group P-1 (No. 2)
Symmetry-distinct sites (fractional):
Tl  0.228  0.256  0.435 [2 per cell]
Mo  0.224  0.646  0.290 [2 per cell]
Mo  0.366  0.126  0.904 [2 per cell]
Cl  0.087  0.845  0.344 [2 per cell]
Cl  0.105  0.896  0.844 [2 per cell]
Cl  0.251  0.658  0.522 [2 per cell]
Cl  0.291  0.698  0.062 [2 per cell]
Cl  0.412  0.097  0.127 [2 per cell]
Cl  0.424  0.097  0.669 [2 per cell]
Cl  0.460  0.519  0.268 [2 per cell]
O  0.018  0.496  0.230 [2 per cell]
O  0.250  0.255  0.934 [2 per cell]

What is the formula in the second record? TlMo2Cl7O2

What did the third record say?
The following is a computed powder XRD pattern of KBa3Y2Co6O16. It was derived from DFT lattice parameters and positions (PBE+U), using λ = 1.5418 Å (Cu Kα).

Largest 10 diffraction maxima, by angle, 5° ≤ 2θ ≤ 70°:
d/Å  2θ/deg  Rel. int.  h k l
5.418  16.36  5  1 0 1
2.787  32.11  45  2 0 0
2.750  32.56  100  1 1 6
2.256  39.97  14  2 0 6
1.971  46.05  33  2 2 0
1.920  47.36  12  0 0 12
1.602  57.53  39  3 1 6
1.581  58.37  20  2 0 12
1.394  67.17  10  4 0 0
1.375  68.19  15  2 2 12

Atomic structure:
Cell lengths 5.575, 5.575, 23.036 Å; angles 90.00, 90.00, 90.00 degrees
Space group I4mm (No. 107)
Symmetry-distinct sites (fractional):
K  0.000  0.000  0.000 [2 per cell]
Ba  0.000  0.000  0.167 [2 per cell]
Ba  0.000  0.000  0.500 [2 per cell]
Ba  0.000  0.000  0.669 [2 per cell]
Y  0.000  0.000  0.335 [2 per cell]
Y  0.000  0.000  0.837 [2 per cell]
Co  0.000  0.500  0.082 [4 per cell]
Co  0.000  0.500  0.256 [4 per cell]
Co  0.000  0.500  0.416 [4 per cell]
O  0.000  0.500  0.002 [4 per cell]
O  0.000  0.500  0.166 [4 per cell]
O  0.246  0.246  0.585 [8 per cell]
O  0.248  0.248  0.395 [8 per cell]
O  0.250  0.250  0.272 [8 per cell]